(1)
Ho4ErMg3: computed XRD peak list (CuKα), based on a DFT-relaxed cell (PBE, Alexandria).
Peak positions follow from Bragg's law for the DFT cell and can differ from measured ones.

Cell and atoms:
Cell: 3.794 5.400 10.928 Å, 90.00 90.00 90.00°
Space group Pmmm (No. 47)
Unique sites:
1 Ho 0.000 0.000 0.000
2 Ho 0.000 0.000 0.500
3 Ho 0.000 0.500 0.240
4 Er 0.500 0.500 0.500
5 Mg 0.500 0.000 0.249
6 Mg 0.500 0.500 0.000

The 8 most intense peaks (10 to 80 degrees two-theta), in order of rising 2θ:
Position (°2θ)  d [Å]  Rel. int.  (hkl)
23.16  3.841  20  0 1 2
23.45  3.794  10  1 0 0
32.78  2.732  20  0 0 4
33.19  2.699  100  0 2 0
47.33  1.920  15  0 2 4
58.78  1.571  15  1 1 6
59.28  1.559  16  1 3 2
69.67  1.350  9  2 2 4



(2)
Ho7Er2Mg2: computed XRD peak list (CuKα), based on a DFT-relaxed cell (PBE, Alexandria).
Peak positions follow from Bragg's law for the DFT cell and can differ from measured ones.

Cell and atoms:
Cell: 6.489 6.516 8.462 Å, 68.64 77.31 83.98°
Space group P-1 (No. 2)
Unique sites:
1 Ho 0.000 0.000 0.000
2 Ho 0.042 0.433 0.198
3 Ho 0.286 0.332 0.533
4 Ho 0.463 0.299 0.909
5 Er 0.208 0.901 0.382
6 Mg 0.370 0.826 0.741

The 8 most intense peaks (10 to 80 degrees two-theta), in order of rising 2θ:
Position (°2θ)  d [Å]  Rel. int.  (hkl)
32.18  2.782  56  2 1 2
32.41  2.762  100  -1 2 1
32.63  2.744  99  0 1 3
32.85  2.726  52  1 -1 2
46.00  1.973  17  1 3 3
47.27  1.923  17  1 1 -3
57.66  1.599  23  2 2 5
58.51  1.578  18  0 3 -2